# 1
This entry pairs a crystal structure of YCuSn with its computed powder X-ray diffraction pattern. Radiation: copper Kα. Structure: the PBE geometry in the Materials Project.

The 8 most intense peaks (2θ from 10° to 80°), in order of rising 2θ:
two_theta	intensity
25.71	26
33.49	100
39.65	84
43.76	26
52.85	27
65.63	17
68.05	25
71.96	14

abc: 4.5458 4.5458 7.2953
angles: 90.00 90.00 120.00
Atoms (fractional coordinates):
Y  0.0000  0.0000  0.0000
Y  0.0000  0.0000  0.5000
Cu  0.3333  0.6667  0.3192
Cu  0.6667  0.3333  0.8192
Sn  0.3333  0.6667  0.7302
Sn  0.6667  0.3333  0.2302



# 2
This entry pairs a crystal structure of TaTlP2O8 with its computed powder X-ray diffraction pattern. Radiation: copper Kα. Structure: the PBE geometry in the Materials Project.

The 8 most intense peaks (2θ from 10° to 80°), in order of rising 2θ:
two_theta	intensity
19.53	95
21.65	20
29.32	100
34.16	41
40.81	30
45.62	33
48.68	21
58.21	29

abc: 5.2494 5.2494 8.2092
angles: 90.00 90.00 120.00
Atoms (fractional coordinates):
Ta  0.0000  0.0000  0.0000
Tl  0.0000  0.0000  0.5000
P  0.3333  0.6667  0.2169
P  0.6667  0.3333  0.7831
O  0.1743  0.3501  0.1418
O  0.1758  0.8257  0.1418
O  0.3333  0.6667  0.3986
O  0.3501  0.1743  0.8582
O  0.6499  0.8242  0.1418
O  0.6667  0.3333  0.6014
O  0.8242  0.6499  0.8582
O  0.8257  0.1758  0.8582



# 3
This entry pairs a crystal structure of Ce6Y2O15 with its computed powder X-ray diffraction pattern. Radiation: copper Kα. Structure: the PBE geometry in the Materials Project.

The 8 most intense peaks (2θ from 10° to 80°), in order of rising 2θ:
two_theta	intensity
28.38	100
32.88	28
47.19	52
55.98	41
58.71	8
68.99	5
76.17	16
78.57	5

abc: 9.4358 9.4358 10.8867
angles: 125.23 125.23 70.61
Atoms (fractional coordinates):
Ce  0.0009  0.9991  0.5000
Ce  0.0052  0.4966  0.7563
Ce  0.2475  0.7443  0.7503
Ce  0.4910  0.5158  0.0182
Ce  0.4966  0.0052  0.2563
Ce  0.4966  0.9773  0.7433
Ce  0.5158  0.4910  0.5182
Ce  0.7443  0.2475  0.2503
Ce  0.7464  0.7534  0.5042
Ce  0.7534  0.7464  0.0042
Ce  0.9773  0.4966  0.2433
Ce  0.9991  0.0009  0.0000
Y  0.2295  0.2529  0.4808
Y  0.2489  0.7746  0.2561
Y  0.2529  0.2295  0.9808
Y  0.7746  0.2489  0.7561
O  0.0089  0.2419  0.7446
O  0.0136  0.7338  0.2514
O  0.0258  0.2753  0.0265
O  0.2419  0.0089  0.2446
O  0.2427  0.4988  0.4742
O  0.2461  0.9902  0.9917
O  0.2510  0.9809  0.7413
O  0.2534  0.5050  0.0271
O  0.2641  0.4837  0.7526
O  0.2753  0.0258  0.5265
O  0.4788  0.7231  0.4850
O  0.4837  0.2641  0.2526
O  0.4975  0.7535  0.0085
O  0.4988  0.2427  0.9742
O  0.5001  0.7647  0.2626
O  0.5050  0.2534  0.5271
O  0.5053  0.7379  0.7571
O  0.7231  0.4788  0.9850
O  0.7338  0.0136  0.7514
O  0.7379  0.5053  0.2571
O  0.7456  0.9911  0.9996
O  0.7471  0.9980  0.2497
O  0.7535  0.4975  0.5085
O  0.7559  0.9980  0.5001
O  0.7647  0.5001  0.7626
O  0.9809  0.2510  0.2413
O  0.9902  0.2461  0.4917
O  0.9911  0.7456  0.4996
O  0.9980  0.7471  0.7497
O  0.9980  0.7559  0.0001



# 4
This entry pairs a crystal structure of Rb2UBr5 with its computed powder X-ray diffraction pattern. Radiation: copper Kα. Structure: the PBE geometry in the Materials Project.

The 8 most intense peaks (2θ from 10° to 80°), in order of rising 2θ:
two_theta	intensity
11.82	91
12.49	44
22.39	44
28.51	58
30.57	69
31.67	46
34.38	48
38.47	100

abc: 14.1737 9.3655 8.8203
angles: 90.00 90.00 90.00
Atoms (fractional coordinates):
Rb  0.1741  0.9997  0.0369
Rb  0.1741  0.5003  0.0369
Rb  0.3259  0.0003  0.5369
Rb  0.3259  0.4997  0.5369
Rb  0.6741  0.9997  0.4631
Rb  0.6741  0.5003  0.4631
Rb  0.8259  0.0003  0.9631
Rb  0.8259  0.4997  0.9631
U  0.0011  0.2500  0.5697
U  0.4989  0.7500  0.0697
U  0.5011  0.2500  0.9303
U  0.9989  0.7500  0.4303
Br  0.0119  0.2500  0.9088
Br  0.0809  0.5406  0.6537
Br  0.0809  0.9594  0.6537
Br  0.1665  0.2500  0.3685
Br  0.1959  0.7500  0.3309
Br  0.3041  0.2500  0.8309
Br  0.3335  0.7500  0.8685
Br  0.4191  0.0406  0.1537
Br  0.4191  0.4594  0.1537
Br  0.4881  0.7500  0.4088
Br  0.5119  0.2500  0.5912
Br  0.5809  0.5406  0.8463
Br  0.5809  0.9594  0.8463
Br  0.6665  0.2500  0.1315
Br  0.6959  0.7500  0.1691
Br  0.8041  0.2500  0.6691
Br  0.8335  0.7500  0.6315
Br  0.9191  0.0406  0.3463
Br  0.9191  0.4594  0.3463
Br  0.9881  0.7500  0.0912



# 5
This entry pairs a crystal structure of MgAlO3 with its computed powder X-ray diffraction pattern. Radiation: copper Kα. Structure: the PBE geometry in the Materials Project.

The 8 most intense peaks (2θ from 10° to 80°), in order of rising 2θ:
two_theta	intensity
24.22	30
34.52	80
42.62	47
49.62	100
55.96	7
61.85	33
72.80	52
78.02	3

abc: 3.6743 3.6743 3.6743
angles: 90.00 90.00 90.00
Atoms (fractional coordinates):
Mg  0.0000  0.0000  0.0000
Al  0.5000  0.5000  0.5000
O  0.0000  0.5000  0.5000
O  0.5000  0.0000  0.5000
O  0.5000  0.5000  0.0000



# 6
This entry pairs a crystal structure of RbHoO3 with its computed powder X-ray diffraction pattern. Radiation: copper Kα. Structure: the PBE geometry in the Materials Project.

The 8 most intense peaks (2θ from 10° to 80°), in order of rising 2θ:
two_theta	intensity
19.74	19
28.06	100
40.10	31
45.07	9
49.65	42
58.00	20
65.64	19
79.78	22

abc: 4.4977 4.4977 4.4977
angles: 90.00 90.00 90.00
Atoms (fractional coordinates):
Rb  0.0000  0.0000  0.0000
Ho  0.5000  0.5000  0.5000
O  0.0000  0.5000  0.5000
O  0.5000  0.0000  0.5000
O  0.5000  0.5000  0.0000



# 7
This entry pairs a crystal structure of RbAs with its computed powder X-ray diffraction pattern. Radiation: copper Kα. Structure: the PBE geometry in the Materials Project.

The 8 most intense peaks (2θ from 10° to 80°), in order of rising 2θ:
two_theta	intensity
14.44	44
26.19	44
28.47	100
29.35	39
30.25	43
32.06	50
34.50	37
47.60	24

abc: 6.7426 7.0835 12.2701
angles: 90.00 90.00 90.00
Atoms (fractional coordinates):
Rb  0.0989  0.1091  0.4180
Rb  0.1677  0.3540  0.7874
Rb  0.3323  0.6460  0.2874
Rb  0.4011  0.8909  0.9180
Rb  0.5989  0.3909  0.5820
Rb  0.6677  0.1460  0.2126
Rb  0.8323  0.8540  0.7126
Rb  0.9011  0.6091  0.0820
As  0.0902  0.5746  0.5310
As  0.1694  0.1846  0.1057
As  0.3306  0.8154  0.6057
As  0.4098  0.4254  0.0310
As  0.5902  0.9254  0.4690
As  0.6694  0.3154  0.8943
As  0.8306  0.6846  0.3943
As  0.9098  0.0746  0.9690



# 8
This entry pairs a crystal structure of Na3Ca with its computed powder X-ray diffraction pattern. Radiation: copper Kα. Structure: the PBE geometry in the Materials Project.

The 8 most intense peaks (2θ from 10° to 80°), in order of rising 2θ:
two_theta	intensity
18.14	6
20.98	3
29.84	100
42.70	18
52.96	35
61.98	10
70.29	13
78.18	3

abc: 5.9894 5.9894 5.9894
angles: 60.00 60.00 60.00
Atoms (fractional coordinates):
Na  0.0000  0.0000  0.0000
Na  0.2500  0.2500  0.2500
Na  0.7500  0.7500  0.7500
Ca  0.5000  0.5000  0.5000